Computed XRD peak list of Li2VPd6 for Cu Ka, from a DFT-relaxed cell (GGA-PBE, Alexandria).

Atomic structure:
Cell: 11.8644 6.6179 6.9806 Å, 90.00 99.70 90.00°
Space group C2/c (No. 15)
Symmetry-distinct sites (fractional):
Li (0.2358, 0.0825, 0.3657)
V (0.0000, 0.1225, 0.2500)
Pd (0.0881, 0.1867, 0.6254)
Pd (0.1137, 0.4493, 0.3256)
Pd (0.1411, 0.1986, 0.0262)

Top 8 peaks for 5 to 70 degrees two-theta, low angle first:
2θ 29.1, I 63.3, (1 1 -2)
2θ 30.6, I 95.8, (4 0 0)
2θ 39.1, I 42.3, (2 2 -2)
2θ 40.1, I 64.0, (3 1 2)
2θ 40.9, I 49.9, (5 1 -1)
2θ 41.1, I 51.7, (1 1 -3)
2θ 41.7, I 100.0, (1 3 0)
2θ 44.5, I 43.1, (3 1 -3)


Computed XRD peak list of LiVPd2 for Cu Ka, from a DFT-relaxed cell (GGA-PBE, Alexandria).

Atomic structure:
Cell: 4.5070 4.5070 2.8153 Å, 90.00 90.00 90.00°
Space group P4/mmm (No. 123)
Symmetry-distinct sites (fractional):
Li (0.0000, 0.0000, 0.0000)
V (0.5000, 0.5000, 0.0000)
Pd (0.0000, 0.5000, 0.5000)

Top 8 peaks for 5 to 70 degrees two-theta, low angle first:
2θ 19.7, I 11.2, (1 0 0)
2θ 28.0, I 56.6, (1 1 0)
2θ 31.8, I 20.3, (0 0 1)
2θ 40.0, I 61.1, (2 0 0)
2θ 42.9, I 100.0, (1 1 1)
2θ 52.0, I 20.4, (2 0 1)
2θ 57.9, I 20.0, (2 2 0)
2θ 65.5, I 10.2, (3 1 0)


Computed XRD peak list of Li2V2Pd7 for Cu Ka, from a DFT-relaxed cell (GGA-PBE, Alexandria).

Atomic structure:
Cell: 4.7685 5.5480 6.6596 Å, 92.08 109.31 105.43°
Space group P-1 (No. 2)
Symmetry-distinct sites (fractional):
Li (0.1567, 0.1422, 0.4375)
V (0.2373, 0.6877, 0.9255)
Pd (0.0000, 0.5000, 0.5000)
Pd (0.1348, 0.2049, 0.8822)
Pd (0.3990, 0.5092, 0.2679)
Pd (0.5005, 0.0303, 0.2721)

Top 8 peaks for 5 to 70 degrees two-theta, low angle first:
2θ 39.2, I 68.8, (2 0 -1)
2θ 41.1, I 77.0, (1 0 -3)
2θ 41.4, I 100.0, (1 0 2)
2θ 41.6, I 50.3, (0 2 -2)
2θ 41.8, I 39.2, (2 0 -2)
2θ 43.2, I 74.4, (-1 2 2)
2θ 45.2, I 41.3, (1 2 0)
2θ 45.8, I 40.2, (2 -2 0)


Computed XRD peak list of LiPd6W for Cu Ka, from a DFT-relaxed cell (GGA-PBE, Alexandria).

Atomic structure:
Cell: 3.9390 3.9390 7.7329 Å, 90.00 90.00 90.00°
Space group P4/mmm (No. 123)
Symmetry-distinct sites (fractional):
Li (0.0000, 0.0000, 0.0000)
Pd (0.0000, 0.5000, 0.2556)
Pd (0.5000, 0.5000, 0.0000)
Pd (0.5000, 0.5000, 0.5000)
W (0.0000, 0.0000, 0.5000)

Top 8 peaks for 5 to 70 degrees two-theta, low angle first:
2θ 11.4, I 26.0, (0 0 1)
2θ 25.4, I 14.5, (1 0 1)
2θ 34.2, I 5.6, (1 1 1)
2θ 39.9, I 100.0, (1 1 2)
2θ 46.1, I 33.1, (2 0 0)
2θ 47.0, I 15.4, (0 0 4)
2θ 67.2, I 10.5, (2 2 0)
2θ 67.9, I 20.2, (2 0 4)


Computed XRD peak list of LiY4Pd7 for Cu Ka, from a DFT-relaxed cell (GGA-PBE, Alexandria).

Atomic structure:
Cell: 13.8524 4.5996 8.7737 Å, 90.00 119.99 90.00°
Space group C2/m (No. 12)
Symmetry-distinct sites (fractional):
Li (0.0000, 0.0000, 0.0000)
Y (0.0635, 0.5000, 0.7398)
Y (0.2248, 0.5000, 0.2503)
Pd (0.0000, 0.5000, 0.0000)
Pd (0.0894, 0.0000, 0.3181)
Pd (0.1742, 0.5000, 0.5360)
Pd (0.1815, 0.0000, 0.9920)

Top 8 peaks for 5 to 70 degrees two-theta, low angle first:
2θ 35.9, I 100.0, (3 1 1)
2θ 36.7, I 73.7, (3 1 -3)
2θ 39.0, I 32.2, (6 0 -2)
2θ 39.2, I 47.0, (0 2 0)
2θ 47.9, I 12.7, (0 0 4)
2θ 56.5, I 21.4, (6 2 -2)
2θ 68.9, I 14.2, (3 3 1)
2θ 69.8, I 12.7, (7 1 -6)


Computed XRD peak list of Li2YPd3 for Cu Ka, from a DFT-relaxed cell (GGA-PBE, Alexandria).

Atomic structure:
Cell: 4.4820 4.4820 5.7245 Å, 90.00 90.00 120.00°
Space group P-3m1 (No. 164)
Symmetry-distinct sites (fractional):
Li (0.3333, 0.6667, 0.1645)
Y (0.0000, 0.0000, 0.5000)
Pd (0.0000, 0.0000, 0.0000)
Pd (0.3333, 0.6667, 0.7180)

Top 8 peaks for 5 to 70 degrees two-theta, low angle first:
2θ 22.9, I 15.6, (1 0 0)
2θ 27.8, I 84.4, (1 0 1)
2θ 39.1, I 100.0, (0 1 2)
2θ 40.2, I 85.9, (1 1 0)
2θ 49.6, I 16.7, (0 2 1)
2θ 53.5, I 10.4, (1 0 3)
2θ 57.4, I 31.9, (2 0 2)
2θ 65.7, I 14.0, (2 1 1)


Computed XRD peak list of LiYPd6 for Cu Ka, from a DFT-relaxed cell (GGA-PBE, Alexandria).

Atomic structure:
Cell: 4.0811 4.0811 7.8295 Å, 90.00 90.00 90.00°
Space group P4/mmm (No. 123)
Symmetry-distinct sites (fractional):
Li (0.0000, 0.0000, 0.0000)
Y (0.0000, 0.0000, 0.5000)
Pd (0.0000, 0.5000, 0.2348)
Pd (0.5000, 0.5000, 0.0000)
Pd (0.5000, 0.5000, 0.5000)

Top 8 peaks for 5 to 70 degrees two-theta, low angle first:
2θ 21.8, I 6.0, (1 0 0)
2θ 31.7, I 4.7, (1 0 2)
2θ 33.1, I 4.6, (1 1 1)
2θ 38.8, I 100.0, (1 1 2)
2θ 44.4, I 34.5, (2 0 0)
2θ 46.4, I 13.9, (0 0 4)
2θ 64.6, I 11.0, (2 2 0)
2θ 66.2, I 18.8, (2 0 4)


Computed XRD peak list of Li4YPd5 for Cu Ka, from a DFT-relaxed cell (GGA-PBE, Alexandria).

Atomic structure:
Cell: 3.1803 3.1803 15.1906 Å, 90.00 90.00 90.00°
Space group P4/mmm (No. 123)
Symmetry-distinct sites (fractional):
Li (0.0000, 0.0000, 0.0925)
Li (0.0000, 0.0000, 0.2766)
Y (0.0000, 0.0000, 0.5000)
Pd (0.5000, 0.5000, 0.0000)
Pd (0.5000, 0.5000, 0.1868)
Pd (0.5000, 0.5000, 0.3759)

Top 8 peaks for 5 to 70 degrees two-theta, low angle first:
2θ 28.1, I 80.3, (1 0 0)
2θ 29.4, I 24.3, (0 0 5)
2θ 36.9, I 17.2, (1 0 4)
2θ 40.1, I 69.8, (1 1 0)
2θ 41.1, I 100.0, (1 0 5)
2θ 50.5, I 21.1, (1 1 5)
2θ 54.6, I 14.5, (1 1 6)
2θ 58.0, I 23.2, (2 0 0)